The following is a theoretical powder diffractogram of Cd3Bi2. It was derived from a GGA-PBE-relaxed structure, using CuKα.
Kinematic intensities with the Lorentz-polarization factor, no thermal factor.

Cell and atoms:
```
Cd3Bi2
1.0
7.7698 -3.0827 0.0000
7.7698 3.0827 0.0000
-2.9688 0.0000 6.2478
Cd Bi
6 4
Direct
0.0112 0.9888 0.7500
0.2179 0.2203 0.4676
0.2203 0.2179 0.9676
0.7797 0.7821 0.0324
0.7821 0.7797 0.5324
0.9888 0.0112 0.2500
0.2290 0.5573 0.3874
0.4427 0.7710 0.1126
0.5573 0.2290 0.8874
0.7710 0.4427 0.6126
```

Largest 6 diffraction maxima, most intense first, 2θ from 10° to 90°:
2theta  d [Å]  I (rel.)
23.24  3.828  100
22.98  3.869  98
35.13  2.555  81
39.15  2.301  63
36.15  2.485  59
36.81  2.442  53